# Rb4Zr2Tc
Theoretical powder X-ray diffraction pattern, Cu Kα X-rays. Input: a structure optimized by DFT (GGA-PBE).

Top 10 peaks for 2θ from 15° to 90°, in order of rising 2θ:
two_theta	d [Å]	Rel. int.
17.6	5.034	48
20.5	4.323	18
25.0	3.560	100
27.1	3.292	26
28.7	3.111	50
32.6	2.748	22
35.7	2.517	39
38.4	2.342	45
53.4	1.715	17
57.9	1.592	18

Cell and atoms:
a b c (Å): 10.0047 10.0047 10.0047
angles (deg): 138.31 138.31 60.43
Fractional positions:
Rb: 0.0000 0.5000 0.5000
Rb: 0.1998 0.1998 0.0000
Rb: 0.5000 0.0000 0.5000
Rb: 0.8002 0.8002 0.0000
Zr: 0.4312 0.4312 0.0000
Zr: 0.5688 0.5688 0.0000
Tc: 0.0000 0.0000 0.0000


# Ba6BiAs2P
Theoretical powder X-ray diffraction pattern, Cu Kα X-rays. Input: a structure optimized by DFT (GGA-PBE).

Top 10 peaks for 2θ from 15° to 90°, in order of rising 2θ:
two_theta	d [Å]	Rel. int.
21.3	4.164	26
23.5	3.793	61
24.0	3.709	37
24.3	3.668	75
24.9	3.579	46
27.0	3.306	100
29.3	3.049	38
36.1	2.486	26
36.3	2.473	35
37.4	2.404	46

Cell and atoms:
a b c (Å): 8.3957 8.8790 14.3773
angles (deg): 90.00 123.40 90.00
Fractional positions:
Ba: 0.0804 0.1078 0.2345
Ba: 0.0804 0.3922 0.7345
Ba: 0.2957 0.7073 0.1146
Ba: 0.2957 0.7927 0.6146
Ba: 0.3641 0.1585 0.0396
Ba: 0.3641 0.3415 0.5396
Ba: 0.6359 0.6585 0.4604
Ba: 0.6359 0.8415 0.9604
Ba: 0.7043 0.2073 0.3854
Ba: 0.7043 0.2927 0.8854
Ba: 0.9196 0.6078 0.2655
Ba: 0.9196 0.8922 0.7655
Bi: 0.5000 0.0000 0.5000
Bi: 0.5000 0.5000 0.0000
As: 0.2940 0.0595 0.7802
As: 0.2940 0.4405 0.2802
As: 0.7060 0.5595 0.7198
As: 0.7060 0.9405 0.2198
P: 0.0000 0.0000 0.0000
P: 0.0000 0.5000 0.5000